Entry 1:
The following is a theoretical X-ray powder pattern of AcSmPBr. It was derived from the GGA-PBE geometry in Alexandria, using Cu Kα.

Cell and atoms:
```
12
Lattice="4.158 0.000 0.000 -2.079 3.601 0.000 0.000 0.000 23.522" Properties=species:S:1:pos:R:3 pbc="T T T"
Ac 0.000 0.000 0.000
Ac 0.000 2.401 15.681
Ac 2.079 1.200 7.841
Sm 0.000 0.000 18.900
Sm 0.000 2.401 11.060
Sm 2.079 1.200 3.219
P 0.000 0.000 9.650
P 0.000 2.401 1.810
P 2.079 1.200 17.491
Br 0.000 0.000 5.351
Br 0.000 2.401 21.032
Br 2.079 1.200 13.192
```

Main lines, most intense first (5° ≤ 2θ ≤ 70°):
2θ/deg  I (rel.)
31.28  100
29.08  56
25.02  54
43.53  44
46.09  26
54.57  21
56.56  20
49.61  19
22.68  15
34.31  14



Entry 2:
The following is a theoretical X-ray powder pattern of LiHoAg2. It was derived from the GGA-PBE geometry in Alexandria, using Cu Kα.

Cell and atoms:
```
12
Lattice="4.672 0.000 0.000 -2.336 4.046 0.000 0.000 0.000 13.200" Properties=species:S:1:pos:R:3 pbc="T T T"
Li 0.000 0.000 0.000
Li 0.000 2.697 8.800
Li 2.336 1.349 4.400
Ho 0.000 0.000 6.600
Ho 0.000 2.697 2.200
Ho 2.336 1.349 11.000
Ag 0.000 0.000 3.607
Ag 0.000 0.000 9.593
Ag 0.000 2.697 5.193
Ag 0.000 2.697 12.407
Ag 2.336 1.349 0.793
Ag 2.336 1.349 8.007
```

Main lines, most intense first (5° ≤ 2θ ≤ 70°):
2θ/deg  I (rel.)
35.09  100
38.54  94
22.99  84
40.81  49
53.10  30
67.50  28
57.38  18
69.72  16
45.35  14
60.99  11



Entry 3:
The following is a theoretical X-ray powder pattern of Sr2Li17Pd3. It was derived from the GGA-PBE geometry in Alexandria, using Cu Kα.

Cell and atoms:
```
22
Lattice="5.239 3.025 5.047 -5.239 3.025 5.047 0.000 -6.050 5.047" Properties=species:S:1:pos:R:3 pbc="T T T"
Sr 0.000 0.000 2.552
Sr 0.000 0.000 12.588
Li -2.620 -1.512 5.047
Li 0.000 -3.072 5.056
Li -2.660 1.536 5.056
Li -1.397 -2.420 7.570
Li -2.795 0.000 7.570
Li -2.660 -1.536 10.084
Li 0.000 0.000 6.171
Li -2.620 1.512 10.093
Li 1.397 -2.420 7.570
Li 0.000 3.025 5.047
Li -1.397 2.420 7.570
Li 0.000 0.000 8.969
Li 2.660 1.536 5.056
Li 2.795 0.000 7.570
Li 1.397 2.420 7.570
Li 2.660 -1.536 10.084
Li 0.000 3.072 10.084
Pd -5.239 0.000 7.570
Pd -2.620 1.512 2.523
Pd 2.620 1.512 2.523
```

Main lines, most intense first (5° ≤ 2θ ≤ 70°):
2θ/deg  I (rel.)
11.37  100
17.57  96
34.23  69
38.73  65
15.24  59
20.43  49
50.21  47
22.85  34
26.65  33
28.57  32